This entry pairs a crystal structure of Mg2Ni3P with its simulated powder diffractogram. Radiation: Cu Kα, 1.54184 Å. Structure: the PBE geometry in the Materials Project.

Largest 12 diffraction maxima, low angle first, 2θ = 5–70°:
2θ (°)	I_rel
22.2	51
24.7	56
26.4	10
39.3	23
42.7	96
44.2	74
45.3	100
47.0	30
50.6	24
54.4	33
60.6	13
67.0	8

Cell and atoms:
Cell: 4.9823 4.9823 10.8170 Å, 90.00 90.00 120.00°
Space group R-3m (No. 166, hexagonal axes)
Unique sites:
Mg 0.0000 0.0000 0.1259 (multiplicity 6)
Ni 0.0000 0.5000 0.0000 (multiplicity 9)
P 0.0000 0.0000 0.5000 (multiplicity 3)